(1)
# Pm2ScCo9
Computed X-ray diffraction stick pattern, CuKα. Input: a crystal structure in Alexandria, relaxed with GGA-PBE.

Cell and atoms:
Lattice parameters (Å, degrees): 4.9214 4.9214 24.9064 90.00 90.00 120.00
Space group R-3m (No. 166, hexagonal axes)
One atom of each set of equivalent atoms:
Pm (0.0000, 0.0000, 0.1384) x6
Sc (0.0000, 0.0000, 0.0000) x3
Co (0.0000, 0.0000, 0.3336) x6
Co (0.0000, 0.0000, 0.5000) x3
Co (0.0015, 0.5008, 0.0782) x18

Largest 12 diffraction maxima, in order of falling intensity, 2θ from 15° to 90°:
| h k l | 2theta | I (rel.) |
| --- | --- | --- |
| 1 1 6 | 42.72 | 100 |
| 1 1 0 | 36.52 | 52 |
| 1 0 7 | 32.79 | 46 |
| 0 1 8 | 35.71 | 45 |
| 0 2 1 | 42.58 | 40 |
| 2 0 5 | 46.34 | 36 |
| 0 1 11 | 45.35 | 35 |
| 1 0 4 | 25.32 | 29 |
| 2 2 0 | 77.60 | 26 |
| 0 2 4 | 44.96 | 25 |
| 0 3 6 | 69.99 | 21 |
| 2 0 14 | 68.73 | 18 |



(2)
# ScCdSn
Computed X-ray diffraction stick pattern, CuKα. Input: a crystal structure in Alexandria, relaxed with GGA-PBE.

Cell and atoms:
Lattice parameters (Å, degrees): 4.3506 15.4012 4.1409 90.00 90.00 90.00
Space group Cmcm (No. 63)
One atom of each set of equivalent atoms:
Sc (0.0000, 0.0860, 0.2500) x4
Cd (0.0000, 0.2581, 0.7500) x4
Sn (0.0000, 0.4235, 0.2500) x4

Largest 12 diffraction maxima, in order of falling intensity, 2θ from 15° to 90°:
| h k l | 2theta | I (rel.) |
| --- | --- | --- |
| 1 3 1 | 34.64 | 100 |
| 0 6 0 | 34.96 | 23 |
| 2 0 0 | 41.51 | 15 |
| 1 9 1 | 62.49 | 15 |
| 0 0 2 | 43.72 | 13 |
| 2 6 0 | 55.36 | 12 |
| 3 3 1 | 71.31 | 12 |
| 1 1 0 | 21.22 | 12 |
| 0 6 2 | 57.16 | 11 |
| 1 3 3 | 74.44 | 10 |
| 2 6 2 | 73.08 | 10 |
| 2 0 2 | 61.87 | 9 |



(3)
# Ce3Y3ErTe8
Computed X-ray diffraction stick pattern, CuKα. Input: a crystal structure in Alexandria, relaxed with GGA-PBE.

Cell and atoms:
Lattice parameters (Å, degrees): 8.7850 8.7850 21.8286 90.00 90.00 120.00
Space group R-3m (No. 166, hexagonal axes)
One atom of each set of equivalent atoms:
Ce (0.0000, 0.5000, 0.0000) x9
Y (0.0000, 0.5000, 0.5000) x9
Er (0.0000, 0.0000, 0.5000) x3
Te (0.0000, 0.0000, 0.2466) x6
Te (0.0050, 0.5025, 0.7523) x18

Largest 12 diffraction maxima, in order of falling intensity, 2θ from 15° to 90°:
| h k l | 2theta | I (rel.) |
| --- | --- | --- |
| 0 2 4 | 28.60 | 100 |
| 2 0 8 | 40.69 | 38 |
| 2 2 0 | 41.10 | 37 |
| 4 0 4 | 50.84 | 20 |
| 2 2 12 | 66.77 | 17 |
| 2 4 4 | 67.35 | 17 |
| 0 4 8 | 59.22 | 12 |
| 4 2 8 | 74.61 | 12 |
| 0 0 12 | 50.15 | 7 |
| 0 2 16 | 73.78 | 6 |
| 6 0 0 | 74.89 | 6 |
| 1 1 3 | 23.66 | 4 |